Record 1
Structure and simulated powder diffractogram of LaRu2 (a cell relaxed with GGA-PBE; a wavelength of 1.5418 Å).

Top 7 peaks for 5° ≤ 2θ ≤ 70°, by angle:
two_theta	Rel. int.
32.78	37
38.64	100
40.44	31
47.04	2
58.52	14
62.45	32
68.71	26

Crystal structure
Cell: 7.7274 7.7274 7.7274 Å, 90.00 90.00 90.00°
Space group Fd-3m (No. 227, origin choice 2)
Asymmetric unit:
La1 0.1250 0.1250 0.1250 x8
Ru1 0.0000 0.0000 0.5000 x16

---

Record 2
Structure and simulated powder diffractogram of Na5CuCO5 (a cell relaxed with GGA-PBE; a wavelength of 1.5418 Å).

Top 12 peaks for 5° ≤ 2θ ≤ 70°, by angle:
two_theta	Rel. int.
18.14	45
19.60	16
21.01	39
22.29	73
26.82	16
34.40	100
36.75	52
39.79	53
43.03	21
47.06	17
55.28	28
64.68	18

Crystal structure
Cell: 4.5304 8.4079 4.8913 Å, 90.00 90.00 90.00°
Space group Pmm2 (No. 25)
Asymmetric unit:
Na1 0.0000 0.0000 0.0000 x1
Na2 0.0000 0.2667 0.5150 x2
Na3 0.5000 0.2581 0.0070 x2
Cu1 0.0000 0.5000 0.0138 x1
C1 0.5000 0.0000 0.4381 x1
O1 0.0000 0.2845 0.0161 x2
O2 0.5000 0.0000 0.1706 x1
O3 0.5000 0.1357 0.5670 x2

---

Record 3
Structure and simulated powder diffractogram of Hg (a cell relaxed with GGA-PBE; a wavelength of 1.5418 Å).

Top 12 peaks for 5° ≤ 2θ ≤ 70°, by angle:
two_theta	Rel. int.
29.40	12
31.23	100
34.63	33
36.22	12
37.75	21
53.32	13
55.58	27
56.69	8
57.79	7
59.95	7
65.15	8
66.16	8

Crystal structure
Cell: 12.1501 12.1501 12.1501 Å, 90.00 90.00 90.00°
Space group I-43m (No. 217)
Asymmetric unit:
Hg1 0.0000 0.0000 0.0000 x2
Hg2 0.0517 0.3605 0.3605 x24
Hg3 0.0929 0.0929 0.2858 x24
Hg4 0.1729 0.1729 0.8271 x8